# 1
Starting from a cell relaxed with PBE, the X-ray diffraction stick pattern of Ac6Tl5Hg was computed for CuKα.
Neutral-atom scattering factors, no anomalous dispersion.

Largest 10 diffraction maxima, low angle first, 15° ≤ 2θ ≤ 90°:
Position (°2θ)	d (Å)	I_rel	(hkl)
27.33	3.264	1000	1 3 1
27.58	3.235	509	2 0 -2
34.24	2.619	846	2 0 2
35.22	2.548	264	0 0 4
43.35	2.087	133	0 6 0
43.72	2.071	290	3 3 -1
52.16	1.754	157	2 6 -2
54.28	1.690	147	1 3 5
57.23	1.610	128	3 3 3
57.45	1.604	129	3 3 -5

Atomic structure:
```
data_Ac6Tl5Hg
_cell_length_a 7.1538
_cell_length_b 12.5224
_cell_length_c 10.4586
_cell_angle_alpha 90.00
_cell_angle_beta 102.94
_cell_angle_gamma 90.00
_symmetry_space_group_name_H-M 'C 1 2/m 1'
_symmetry_Int_Tables_number 12
_symmetry_space_group_name_Hall '-C 2y'
loop_
_atom_site_label
_atom_site_type_symbol
_atom_site_fract_x
_atom_site_fract_y
_atom_site_fract_z
_atom_site_occupancy
Ac1 Ac 0.2435 0.0000 0.2346 1
Ac2 Ac 0.2444 0.1654 0.7459 1
Tl1 Tl 0.0000 0.0000 0.5000 1
Tl2 Tl 0.0000 0.1858 0.0000 1
Tl3 Tl 0.0000 0.3504 0.5000 1
Hg1 Hg 0.0000 0.5000 0.0000 1
```


# 2
Starting from a cell relaxed with PBE, the X-ray diffraction stick pattern of CsHg3F8 was computed for CuKα.
Neutral-atom scattering factors, no anomalous dispersion.

Largest 10 diffraction maxima, low angle first, 15° ≤ 2θ ≤ 90°:
Position (°2θ)	d (Å)	I_rel	(hkl)
20.40	4.354	419	1 0 1
23.45	3.794	246	0 0 2
28.91	3.088	510	0 1 2
29.10	3.069	1000	1 1 0
31.45	2.845	386	1 1 1
37.70	2.386	491	1 1 2
41.48	2.177	264	2 0 2
51.12	1.787	251	0 1 4
51.47	1.775	243	3 -2 2
51.59	1.772	278	3 0 0

Atomic structure:
```
data_CsHg3F8
_cell_length_a 6.1374
_cell_length_b 6.1374
_cell_length_c 7.5888
_cell_angle_alpha 90.00
_cell_angle_beta 90.00
_cell_angle_gamma 120.00
_symmetry_space_group_name_H-M 'P -3'
_symmetry_Int_Tables_number 147
_symmetry_space_group_name_Hall '-P 3'
loop_
_atom_site_label
_atom_site_type_symbol
_atom_site_fract_x
_atom_site_fract_y
_atom_site_fract_z
_atom_site_occupancy
Cs1 Cs 0.0000 0.0000 0.0000 1
Hg1 Hg 0.0000 0.0000 0.5000 1
Hg2 Hg 0.3333 0.6667 0.5926 1
F1 F 0.0696 0.3629 0.3662 1
F2 F 0.3333 0.6667 0.8716 1
```


# 3
Starting from a cell relaxed with PBE, the X-ray diffraction stick pattern of Er2Ge3Pt5 was computed for CuKα.
Neutral-atom scattering factors, no anomalous dispersion.

Largest 10 diffraction maxima, low angle first, 15° ≤ 2θ ≤ 90°:
Position (°2θ)	d (Å)	I_rel	(hkl)
27.00	3.302	188	1 3 1
35.24	2.547	1000	1 3 2
35.84	2.505	892	1 7 1
38.31	2.349	641	1 5 2
39.26	2.295	204	0 10 1
39.55	2.279	302	1 9 0
39.71	2.270	229	0 2 3
41.83	2.160	207	0 4 3
42.65	2.120	689	2 0 0
47.77	1.904	235	1 9 2

Atomic structure:
```
data_Er2Ge3Pt5
_cell_length_a 4.2386
_cell_length_b 24.3207
_cell_length_c 6.9306
_cell_angle_alpha 90.00
_cell_angle_beta 90.00
_cell_angle_gamma 90.00
_symmetry_space_group_name_H-M 'C m c 21'
_symmetry_Int_Tables_number 36
_symmetry_space_group_name_Hall 'C 2c -2'
loop_
_atom_site_label
_atom_site_type_symbol
_atom_site_fract_x
_atom_site_fract_y
_atom_site_fract_z
_atom_site_occupancy
Er1 Er 0.0000 0.0237 0.0000 1
Er2 Er 0.0000 0.3232 0.9374 1
Ge1 Ge 0.0000 0.1163 0.7228 1
Ge2 Ge 0.0000 0.2803 0.3985 1
Ge3 Ge 0.0000 0.4538 0.8167 1
Pt1 Pt 0.0000 0.1001 0.3145 1
Pt2 Pt 0.0000 0.2006 0.1291 1
Pt3 Pt 0.0000 0.2203 0.6952 1
Pt4 Pt 0.0000 0.3792 0.5329 1
Pt5 Pt 0.0000 0.4471 0.1915 1
```


# 4
Starting from a cell relaxed with PBE, the X-ray diffraction stick pattern of KGaH4 was computed for CuKα.
Neutral-atom scattering factors, no anomalous dispersion.

Largest 10 diffraction maxima, low angle first, 15° ≤ 2θ ≤ 90°:
Position (°2θ)	d (Å)	I_rel	(hkl)
20.24	4.387	274	0 1 1
24.64	3.613	410	0 0 2
25.71	3.465	1000	2 1 0
26.62	3.348	325	1 0 2
28.57	3.124	958	2 1 1
31.24	2.863	621	1 1 2
32.43	2.760	477	0 2 0
35.91	2.501	334	2 1 2
42.48	2.128	544	4 0 1
54.44	1.685	518	4 2 1

Atomic structure:
```
data_KGaH4
_cell_length_a 8.9021
_cell_length_b 5.5207
_cell_length_c 7.2266
_cell_angle_alpha 90.00
_cell_angle_beta 90.00
_cell_angle_gamma 90.00
_symmetry_space_group_name_H-M 'P n m a'
_symmetry_Int_Tables_number 62
_symmetry_space_group_name_Hall '-P 2ac 2n'
loop_
_atom_site_label
_atom_site_type_symbol
_atom_site_fract_x
_atom_site_fract_y
_atom_site_fract_z
_atom_site_occupancy
K1 K 0.1790 0.2500 0.1644 1
Ga1 Ga 0.0663 0.2500 0.6913 1
H1 H 0.0847 0.0160 0.8212 1
H2 H 0.0965 0.7500 0.3992 1
H3 H 0.1982 0.2500 0.5423 1
```